Computed powder X-ray diffraction pattern
Compound: LiLaInPb
Radiation: a wavelength of 1.5418 Å
Structure: a PBE-relaxed structure
Neutral-atom scattering factors, no anomalous dispersion.

Peak list (10 most intense, 5 to 70 degrees two-theta, in order of falling intensity)
(1 1 1), 32.45°, intensity 100
(0 0 1), 18.19°, intensity 22
(1 1 0), 26.65°, intensity 18
(0 0 2), 36.85°, intensity 18
(0 2 0), 37.78°, intensity 17
(2 0 0), 38.31°, intensity 16
(1 1 3), 63.63°, intensity 14
(1 0 0), 18.89°, intensity 14
(1 3 1), 64.87°, intensity 14
(3 1 1), 65.60°, intensity 13

Structural model:
```
data_LiLaInPb
_space_group_name_H-M_alt 'P 1'
_space_group_IT_number 1
_cell_length_a 4.699
_cell_length_b 4.763
_cell_length_c 4.878
_cell_angle_alpha 90.00
_cell_angle_beta 90.00
_cell_angle_gamma 90.00
loop_
_space_group_symop_operation_xyz
'x,y,z'
loop_
_atom_site_label
_atom_site_type_symbol
_atom_site_fract_x
_atom_site_fract_y
_atom_site_fract_z
Li1 Li 0.000 0.000 0.000
La1 La 0.000 0.500 0.500
In1 In 0.500 0.500 0.000
Pb1 Pb 0.500 0.000 0.500
```